The following is a calculated X-ray diffraction stick pattern of LiLa3Dy3Te8. It was derived from a GGA-PBE-relaxed structure, using CuKα.
Lines closer than 0.1° are merged.

Largest 6 diffraction maxima, low angle first, 2θ = 10–80°:
- 28.39 deg, I 100
- 40.44 deg, I 38
- 40.73 deg, I 38
- 50.39 deg, I 20
- 66.30 deg, I 17
- 66.71 deg, I 17

```
15
Lattice="4.431 2.558 7.311 -4.431 2.558 7.311 0.000 -5.116 7.311" Properties=species:S:1:pos:R:3 pbc="T T T"
Li 0.000 0.000 0.000
La -4.431 0.000 10.966
La -2.215 1.279 3.655
La 2.215 1.279 3.655
Dy -2.215 -1.279 7.311
Dy -2.215 1.279 14.622
Dy 0.000 2.558 7.311
Te 0.000 -2.533 9.044
Te -2.194 1.267 9.044
Te 0.000 0.000 5.598
Te -2.194 -1.267 12.888
Te 2.194 1.267 9.044
Te 0.000 0.000 16.335
Te 2.194 -1.267 12.888
Te 0.000 2.533 12.888
```